Entry 1:
Computed powder XRD pattern
Compound: Sr2CaWO6
Radiation: Cu Kα (weighted mean of Kα1 and Kα2)
Structure: a crystal structure in the Materials Project, relaxed with PBE+U

Peak list (10 most intense, 10 to 90 degrees two-theta, by angle)
2theta	Rel. int.
18.35	36
30.18	100
35.55	18
43.21	33
53.61	40
57.15	8
62.76	20
65.99	7
71.21	18
87.07	22

```
Sr2CaWO6
1.0
0.000 4.188 4.188
4.188 0.000 4.188
4.188 4.188 0.000
Sr Ca W O
2 1 1 6
direct
0.250 0.250 0.250
0.750 0.750 0.750
0.000 0.000 0.000
0.500 0.500 0.500
0.268 0.268 0.732
0.268 0.732 0.268
0.268 0.732 0.732
0.732 0.268 0.268
0.732 0.268 0.732
0.732 0.732 0.268
```


Entry 2:
Computed powder XRD pattern
Compound: VOF
Radiation: Cu Kα (weighted mean of Kα1 and Kα2)
Structure: a crystal structure in the Materials Project, relaxed with PBE+U

Peak list (10 most intense, 10 to 90 degrees two-theta, by angle)
2theta	Rel. int.
25.97	100
27.16	97
34.58	98
39.18	22
40.01	25
51.58	60
52.92	50
59.69	24
66.36	41
66.78	19

```
VOF
1.0
4.749 0.000 0.000
0.000 3.098 0.000
-0.833 0.000 18.980
V O F
8 8 8
direct
0.000 0.000 0.000
0.000 0.000 0.500
0.044 0.000 0.250
0.422 0.500 0.876
0.479 0.500 0.625
0.521 0.500 0.375
0.578 0.500 0.124
0.956 0.000 0.750
0.155 0.500 0.799
0.194 0.500 0.550
0.235 0.500 0.299
0.271 0.000 0.927
0.729 0.000 0.073
0.765 0.500 0.701
0.806 0.500 0.450
0.845 0.500 0.201
0.215 0.500 0.051
0.273 0.000 0.673
0.315 0.000 0.423
0.342 0.000 0.171
0.658 0.000 0.829
0.685 0.000 0.577
0.727 0.000 0.327
0.785 0.500 0.949
```


Entry 3:
Computed powder XRD pattern
Compound: VAgOF4
Radiation: Cu Kα (weighted mean of Kα1 and Kα2)
Structure: a crystal structure in the Materials Project, relaxed with PBE+U

Peak list (10 most intense, 10 to 90 degrees two-theta, by angle)
2theta	Rel. int.
23.28	23
24.85	100
25.64	49
28.55	52
32.13	18
38.56	19
42.31	19
43.56	15
49.28	13
50.96	13

```
VAgOF4
1.0
5.735 0.000 0.000
0.000 5.185 0.000
-2.355 0.000 13.897
V Ag O F
4 4 4 16
direct
0.177 0.056 0.357
0.177 0.444 0.857
0.823 0.556 0.143
0.823 0.944 0.643
0.346 0.066 0.112
0.346 0.434 0.612
0.654 0.566 0.388
0.654 0.934 0.888
0.351 0.654 0.918
0.351 0.846 0.418
0.649 0.154 0.582
0.649 0.346 0.082
0.099 0.606 0.738
0.099 0.894 0.238
0.114 0.034 0.616
0.114 0.466 0.116
0.180 0.173 0.942
0.180 0.327 0.442
0.392 0.246 0.301
0.392 0.254 0.801
0.608 0.746 0.199
0.608 0.754 0.699
0.820 0.673 0.558
0.820 0.827 0.058
0.886 0.534 0.884
0.886 0.966 0.384
0.901 0.106 0.762
0.901 0.394 0.262
```


Entry 4:
Computed powder XRD pattern
Compound: LiFeF4
Radiation: Cu Kα (weighted mean of Kα1 and Kα2)
Structure: a crystal structure in the Materials Project, relaxed with PBE+U

Peak list (10 most intense, 10 to 90 degrees two-theta, by angle)
2theta	Rel. int.
14.91	46
17.92	100
22.96	68
28.34	23
29.80	19
34.09	24
41.50	45
42.56	22
53.53	19
64.15	26

```
LiFeF4
1.0
6.433 0.000 0.000
0.000 3.056 0.000
0.000 0.000 15.496
Li Fe F
4 4 16
direct
0.157 0.250 0.150
0.343 0.750 0.650
0.657 0.250 0.350
0.843 0.750 0.850
0.157 0.750 0.369
0.343 0.250 0.869
0.657 0.750 0.131
0.843 0.250 0.631
0.045 0.250 0.870
0.139 0.250 0.640
0.154 0.250 0.450
0.163 0.250 0.283
0.337 0.750 0.783
0.346 0.750 0.950
0.361 0.750 0.140
0.455 0.750 0.370
0.545 0.250 0.630
0.639 0.250 0.860
0.654 0.250 0.050
0.663 0.250 0.217
0.837 0.750 0.717
0.846 0.750 0.550
0.861 0.750 0.360
0.955 0.750 0.130
```


Entry 5:
Computed powder XRD pattern
Compound: Li3Mn2O5
Radiation: Cu Kα (weighted mean of Kα1 and Kα2)
Structure: a crystal structure in the Materials Project, relaxed with PBE+U

Peak list (10 most intense, 10 to 90 degrees two-theta, by angle)
2theta	Rel. int.
14.57	10
18.36	100
34.57	15
36.24	23
41.76	32
44.11	59
58.16	9
62.19	16
62.52	16
64.72	11

```
Li3Mn2O5
1.0
12.163 -1.440 0.000
12.163 1.440 0.000
-0.141 0.000 5.205
Li Mn O
6 4 10
direct
0.000 0.000 0.000
0.095 0.095 0.703
0.301 0.301 0.104
0.500 0.500 0.500
0.699 0.699 0.896
0.905 0.905 0.297
0.199 0.199 0.387
0.405 0.405 0.825
0.595 0.595 0.175
0.801 0.801 0.613
0.055 0.055 0.336
0.143 0.143 0.049
0.254 0.254 0.746
0.348 0.348 0.494
0.446 0.446 0.120
0.554 0.554 0.880
0.652 0.652 0.506
0.746 0.746 0.254
0.857 0.857 0.951
0.945 0.945 0.664
```


Entry 6:
Computed powder XRD pattern
Compound: LiFeF4
Radiation: Cu Kα (weighted mean of Kα1 and Kα2)
Structure: a crystal structure in the Materials Project, relaxed with PBE+U

Peak list (10 most intense, 10 to 90 degrees two-theta, by angle)
2theta	Rel. int.
17.02	86
17.65	100
23.22	63
28.24	31
28.36	31
30.31	25
36.22	45
39.27	31
45.25	57
49.45	24

```
LiFeF4
1.0
4.946 0.000 0.000
0.026 6.091 0.000
2.034 3.035 5.024
Li Fe F
2 2 8
direct
0.000 0.000 0.000
0.495 0.503 0.002
0.246 0.670 0.504
0.748 0.339 0.503
0.165 0.508 0.294
0.182 0.974 0.251
0.307 0.730 0.754
0.332 0.302 0.715
0.664 0.708 0.295
0.685 0.286 0.251
0.811 0.031 0.753
0.830 0.497 0.714
```